Computed powder XRD pattern of Mn5SnP6O24 for Cu Kα (weighted mean of Kα1 and Kα2), from a DFT-relaxed cell (GGA+U, Alexandria).
Peak positions follow from Bragg's law for the DFT cell and can differ from measured ones.

Structural model:
```
data_Mn5SnP6O24
_chemical_formula_sum 'Mn5 Sn1 P6 O24'
_cell_length_a 8.6868
_cell_length_b 8.6868
_cell_length_c 8.6868
_cell_angle_alpha 59.76
_cell_angle_beta 59.76
_cell_angle_gamma 59.76
_space_group_name_H-M_alt 'P 1'
_space_group_IT_number 1
_space_group_name_Hall 'P 1'
loop_
_atom_site_label
_atom_site_type_symbol
_atom_site_fract_x
_atom_site_fract_y
_atom_site_fract_z
Mn1 Mn 0.0000 0.0000 0.0000
Mn2 Mn 0.1409 0.1409 0.1409
Mn3 Mn 0.5008 0.5008 0.5008
Mn4 Mn 0.6438 0.6438 0.6438
Mn5 Mn 0.7891 0.7891 0.7891
Sn1 Sn 0.2887 0.2887 0.2887
P1 P 0.0988 0.3989 0.6922
P2 P 0.1837 0.8926 0.6064
P3 P 0.3989 0.6922 0.0988
P4 P 0.6064 0.1837 0.8926
P5 P 0.6922 0.0988 0.3989
P6 P 0.8926 0.6064 0.1837
O1 O 0.0269 0.8319 0.6423
O2 O 0.0586 0.4095 0.1949
O3 O 0.0780 0.2351 0.8847
O4 O 0.1254 0.3455 0.5336
O5 O 0.1522 0.9549 0.7583
O6 O 0.1949 0.0586 0.4095
O7 O 0.2351 0.8847 0.0780
O8 O 0.2607 0.4481 0.6577
O9 O 0.3455 0.5336 0.1254
O10 O 0.3799 0.7332 0.5859
O11 O 0.4095 0.1949 0.0586
O12 O 0.4481 0.6577 0.2607
O13 O 0.5336 0.1254 0.3455
O14 O 0.5658 0.7052 0.9048
O15 O 0.5859 0.3799 0.7332
O16 O 0.6423 0.0269 0.8319
O17 O 0.6577 0.2607 0.4481
O18 O 0.7052 0.9048 0.5658
O19 O 0.7332 0.5859 0.3799
O20 O 0.7583 0.1522 0.9549
O21 O 0.8319 0.6423 0.0269
O22 O 0.8847 0.0780 0.2351
O23 O 0.9048 0.5658 0.7052
O24 O 0.9549 0.7583 0.1522
```

Main lines, sorted by position (10 to 90 degrees two-theta):
2θ/deg	I (rel.)
20.5	100
24.1	79
25.2	9
29.1	15
31.9	13
32.6	67
35.9	40
46.8	25
49.3	26
56.1	16
56.2	22
62.5	18